Record 1
Theoretical powder diffractogram
Compound: Nd4TlSn
Radiation: Cu Kα (λ = 1.5418 Å)
Structure: the PBE geometry in Alexandria
No peak broadening, texture or thermal motion is included.

Principal peaks in the range 2θ = 15–90°, most intense first:
Position (°2θ), d_spacing, I (rel.), h k l
32.21, 2.779, 100.0, 1 7 0
33.66, 2.663, 61.0, 1 3 2
31.21, 2.866, 59.8, 2 0 0
15.96, 5.552, 40.5, 1 1 0
28.29, 3.154, 34.0, 0 2 2
42.62, 2.122, 31.4, 2 2 2

Cell and atoms:
a b c (Å): 5.732 22.239 6.579
angles (deg): 90.00 90.00 90.00
Space group Cmcm (No. 63)
Symmetry-distinct sites (fractional):
Nd 0.000 0.065 0.250 (multiplicity 4)
Nd 0.000 0.211 0.005 (multiplicity 8)
Nd 0.000 0.374 0.250 (multiplicity 4)
Tl 0.000 0.075 0.750 (multiplicity 4)
Sn 0.000 0.344 0.750 (multiplicity 4)

***

Record 2
Theoretical powder diffractogram
Compound: Nd4TlSn
Radiation: Cu Kα (λ = 1.5418 Å)
Structure: the PBE geometry in Alexandria
No peak broadening, texture or thermal motion is included.

Principal peaks in the range 2θ = 15–90°, most intense first:
Position (°2θ), d_spacing, I (rel.), h k l
33.60, 2.667, 100.0, 2 0 0
60.09, 1.540, 38.0, 3 1 2
20.39, 4.355, 29.2, 1 0 1
48.26, 1.886, 18.2, 2 2 0
80.54, 1.193, 16.6, 4 2 0
39.63, 2.274, 16.4, 2 1 1

Cell and atoms:
a b c (Å): 5.332 5.332 7.548
angles (deg): 90.00 90.00 90.00
Space group P4/mmm (No. 123)
Symmetry-distinct sites (fractional):
Nd 0.000 0.500 0.249 (multiplicity 4)
Tl 0.000 0.000 0.000 (multiplicity 1)
Sn 0.500 0.500 0.500 (multiplicity 1)

***

Record 3
Theoretical powder diffractogram
Compound: Nd12TmSn3
Radiation: Cu Kα (λ = 1.5418 Å)
Structure: the PBE geometry in Alexandria
No peak broadening, texture or thermal motion is included.

Principal peaks in the range 2θ = 15–90°, most intense first:
Position (°2θ), d_spacing, I (rel.), h k l
30.96, 2.889, 100.0, 1 1 4
36.08, 2.489, 33.6, 2 0 0
61.71, 1.503, 28.3, 3 1 4
51.54, 1.773, 22.9, 2 0 8
35.53, 2.527, 16.5, 0 0 8
60.98, 1.519, 12.8, 1 1 12

Cell and atoms:
a b c (Å): 4.979 4.979 20.213
angles (deg): 90.00 90.00 90.00
Space group P4/mmm (No. 123)
Symmetry-distinct sites (fractional):
Nd 0.000 0.000 0.000 (multiplicity 1)
Nd 0.000 0.000 0.244 (multiplicity 2)
Nd 0.000 0.000 0.500 (multiplicity 1)
Nd 0.000 0.500 0.122 (multiplicity 4)
Nd 0.000 0.500 0.368 (multiplicity 4)
Tm 0.500 0.500 0.500 (multiplicity 1)
Sn 0.500 0.500 0.000 (multiplicity 1)
Sn 0.500 0.500 0.245 (multiplicity 2)

***

Record 4
Theoretical powder diffractogram
Compound: NdTm2Sn
Radiation: Cu Kα (λ = 1.5418 Å)
Structure: the PBE geometry in Alexandria
No peak broadening, texture or thermal motion is included.

Principal peaks in the range 2θ = 15–90°, most intense first:
Position (°2θ), d_spacing, I (rel.), h k l
33.75, 2.656, 100.0, 1 1 2
29.58, 3.020, 84.0, 1 1 -2
32.10, 2.789, 32.7, 0 0 4
38.09, 2.363, 30.3, 0 2 0
38.96, 2.312, 29.5, 2 0 -1
55.62, 1.652, 20.4, 2 2 -1

Cell and atoms:
a b c (Å): 4.624 4.725 11.388
angles (deg): 90.00 101.64 90.00
Space group P2_1/m (No. 11)
Symmetry-distinct sites (fractional):
Nd 0.192 0.250 0.385 (multiplicity 2)
Tm 0.056 0.750 0.113 (multiplicity 2)
Tm 0.437 0.750 0.873 (multiplicity 2)
Sn 0.340 0.250 0.678 (multiplicity 2)